Entry 1:
# GaCu2Ni8
Computed powder diffractogram, Cu Kα. Input: DFT lattice parameters and positions (PBE).
Peak positions follow from Bragg's law for the DFT cell and can differ from measured ones.

Largest 6 diffraction maxima, most intense first, 10° ≤ 2θ ≤ 80°:
two_theta, I/Imax
45.07, 100
45.47, 85
46.91, 45
47.69, 40
69.12, 24
62.70, 13

a = 5.927 Å, b = 5.927 Å, c = 3.874 Å
α = 90.00°, β = 90.00°, γ = 105.14°
Positions (direct):
Ga (0.000, 0.000, 0.000)
Cu (0.378, 0.622, 0.500)
Cu (0.622, 0.378, 0.500)
Ni (0.034, 0.301, 0.500)
Ni (0.249, 0.751, 0.000)
Ni (0.301, 0.034, 0.500)
Ni (0.333, 0.333, 0.000)
Ni (0.667, 0.667, 0.000)
Ni (0.699, 0.966, 0.500)
Ni (0.751, 0.249, 0.000)
Ni (0.966, 0.699, 0.500)

Entry 2:
# Ga2Cu2Ni
Computed powder diffractogram, Cu Kα. Input: DFT lattice parameters and positions (PBE).
Peak positions follow from Bragg's law for the DFT cell and can differ from measured ones.

Largest 5 diffraction maxima, most intense first, 10° ≤ 2θ ≤ 80°:
two_theta, I/Imax
42.62, 100
44.10, 91
63.00, 29
76.97, 15
37.14, 1

a = 4.107 Å, b = 4.107 Å, c = 13.216 Å
α = 90.00°, β = 90.00°, γ = 120.00°
Positions (direct):
Ga (0.000, 0.000, 0.104)
Ga (0.000, 0.000, 0.896)
Ga (0.333, 0.667, 0.562)
Ga (0.333, 0.667, 0.771)
Ga (0.667, 0.333, 0.229)
Ga (0.667, 0.333, 0.438)
Cu (0.000, 0.000, 0.302)
Cu (0.000, 0.000, 0.698)
Cu (0.333, 0.667, 0.365)
Cu (0.333, 0.667, 0.969)
Cu (0.667, 0.333, 0.031)
Cu (0.667, 0.333, 0.635)
Ni (0.000, 0.000, 0.500)
Ni (0.333, 0.667, 0.167)
Ni (0.667, 0.333, 0.833)

Entry 3:
# Ga8Cu3Ni2
Computed powder diffractogram, Cu Kα. Input: DFT lattice parameters and positions (PBE).
Peak positions follow from Bragg's law for the DFT cell and can differ from measured ones.

Largest 6 diffraction maxima, most intense first, 10° ≤ 2θ ≤ 80°:
two_theta, I/Imax
43.67, 100
43.86, 99
44.66, 50
44.44, 50
64.83, 31
26.58, 30

a = 7.196 Å, b = 4.058 Å, c = 7.236 Å
α = 90.00°, β = 111.20°, γ = 90.00°
Positions (direct):
Ga (0.113, 0.000, 0.381)
Ga (0.121, 0.500, 0.881)
Ga (0.353, 0.500, 0.644)
Ga (0.380, 0.000, 0.113)
Ga (0.620, 0.000, 0.887)
Ga (0.647, 0.500, 0.356)
Ga (0.879, 0.500, 0.119)
Ga (0.887, 0.000, 0.619)
Cu (0.262, 0.500, 0.263)
Cu (0.500, 0.000, 0.500)
Cu (0.738, 0.500, 0.737)
Ni (0.244, 0.000, 0.758)
Ni (0.756, 0.000, 0.242)

Entry 4:
# GaCu3Ni
Computed powder diffractogram, Cu Kα. Input: DFT lattice parameters and positions (PBE).
Peak positions follow from Bragg's law for the DFT cell and can differ from measured ones.

Largest 6 diffraction maxima, most intense first, 10° ≤ 2θ ≤ 80°:
two_theta, I/Imax
45.17, 100
45.35, 94
45.45, 85
45.66, 56
46.36, 55
46.88, 52

a = 7.754 Å, b = 4.938 Å, c = 3.991 Å
α = 90.00°, β = 120.27°, γ = 90.00°
Positions (direct):
Ga (0.000, 0.000, 0.000)
Ga (0.500, 0.500, 0.000)
Cu (0.235, 0.000, 0.736)
Cu (0.410, 0.238, 0.410)
Cu (0.410, 0.762, 0.410)
Cu (0.735, 0.500, 0.736)
Cu (0.910, 0.262, 0.410)
Cu (0.910, 0.738, 0.410)
Ni (0.094, 0.500, 0.086)
Ni (0.594, 0.000, 0.086)

Entry 5:
# GaCu7Ni4
Computed powder diffractogram, Cu Kα. Input: DFT lattice parameters and positions (PBE).
Peak positions follow from Bragg's law for the DFT cell and can differ from measured ones.

Largest 6 diffraction maxima, most intense first, 10° ≤ 2θ ≤ 80°:
two_theta, I/Imax
41.26, 100
47.04, 98
46.67, 86
41.95, 83
60.30, 52
44.58, 23

a = 6.144 Å, b = 6.144 Å, c = 6.593 Å
α = 110.80°, β = 110.80°, γ = 41.72°
Positions (direct):
Ga (0.000, 0.000, 0.000)
Cu (0.107, 0.107, 0.514)
Cu (0.211, 0.211, 0.248)
Cu (0.251, 0.251, 0.908)
Cu (0.500, 0.500, 0.000)
Cu (0.749, 0.749, 0.092)
Cu (0.789, 0.789, 0.752)
Cu (0.893, 0.893, 0.486)
Ni (0.346, 0.346, 0.623)
Ni (0.431, 0.431, 0.311)
Ni (0.569, 0.569, 0.689)
Ni (0.654, 0.654, 0.377)

Entry 6:
# GaCu2Ni6
Computed powder diffractogram, Cu Kα. Input: DFT lattice parameters and positions (PBE).
Peak positions follow from Bragg's law for the DFT cell and can differ from measured ones.

Largest 5 diffraction maxima, most intense first, 10° ≤ 2θ ≤ 80°:
two_theta, I/Imax
44.00, 100
51.73, 30
75.04, 18
50.31, 17
76.19, 9

a = 7.497 Å, b = 7.497 Å, c = 3.628 Å
α = 90.00°, β = 90.00°, γ = 90.00°
Positions (direct):
Ga (0.000, 0.000, 0.000)
Ga (0.500, 0.500, 0.500)
Cu (0.173, 0.173, 0.500)
Cu (0.327, 0.673, 0.000)
Cu (0.673, 0.327, 0.000)
Cu (0.827, 0.827, 0.500)
Ni (0.004, 0.336, 0.000)
Ni (0.164, 0.504, 0.500)
Ni (0.164, 0.836, 0.500)
Ni (0.336, 0.004, 0.000)
Ni (0.336, 0.336, 0.000)
Ni (0.496, 0.836, 0.500)
Ni (0.504, 0.164, 0.500)
Ni (0.664, 0.664, 0.000)
Ni (0.664, 0.996, 0.000)
Ni (0.836, 0.164, 0.500)
Ni (0.836, 0.496, 0.500)
Ni (0.996, 0.664, 0.000)

Entry 7:
# GaCu6Ni
Computed powder diffractogram, Cu Kα. Input: DFT lattice parameters and positions (PBE).
Peak positions follow from Bragg's law for the DFT cell and can differ from measured ones.

Largest 5 diffraction maxima, most intense first, 10° ≤ 2θ ≤ 80°:
two_theta, I/Imax
43.03, 100
50.78, 30
73.04, 18
48.75, 17
74.65, 9

a = 3.596 Å, b = 3.596 Å, c = 14.944 Å
α = 90.00°, β = 90.00°, γ = 90.00°
Positions (direct):
Ga (0.000, 0.000, 0.000)
Ga (0.500, 0.500, 0.500)
Cu (0.000, 0.000, 0.253)
Cu (0.000, 0.000, 0.747)
Cu (0.000, 0.500, 0.127)
Cu (0.000, 0.500, 0.373)
Cu (0.000, 0.500, 0.627)
Cu (0.000, 0.500, 0.873)
Cu (0.500, 0.000, 0.127)
Cu (0.500, 0.000, 0.373)
Cu (0.500, 0.000, 0.627)
Cu (0.500, 0.000, 0.873)
Cu (0.500, 0.500, 0.247)
Cu (0.500, 0.500, 0.753)
Ni (0.000, 0.000, 0.500)
Ni (0.500, 0.500, 0.000)

Entry 8:
# Sm2Ga3CuNi12
Computed powder diffractogram, Cu Kα. Input: DFT lattice parameters and positions (PBE).
Peak positions follow from Bragg's law for the DFT cell and can differ from measured ones.

Largest 6 diffraction maxima, most intense first, 10° ≤ 2θ ≤ 80°:
two_theta, I/Imax
31.30, 100
36.42, 45
39.38, 42
46.24, 41
37.01, 39
61.06, 37

a = 9.167 Å, b = 9.167 Å, c = 9.167 Å
α = 38.67°, β = 38.67°, γ = 38.67°
Positions (direct):
Sm (0.154, 0.154, 0.154)
Sm (0.846, 0.846, 0.846)
Ga (0.000, 0.500, 0.500)
Ga (0.500, 0.000, 0.500)
Ga (0.500, 0.500, 0.000)
Cu (0.500, 0.500, 0.500)
Ni (0.080, 0.080, 0.690)
Ni (0.080, 0.690, 0.080)
Ni (0.149, 0.569, 0.569)
Ni (0.310, 0.920, 0.920)
Ni (0.431, 0.431, 0.851)
Ni (0.431, 0.851, 0.431)
Ni (0.569, 0.149, 0.569)
Ni (0.569, 0.569, 0.149)
Ni (0.690, 0.080, 0.080)
Ni (0.851, 0.431, 0.431)
Ni (0.920, 0.310, 0.920)
Ni (0.920, 0.920, 0.310)

Entry 9:
# Sm2Ga2CuNi5
Computed powder diffractogram, Cu Kα. Input: DFT lattice parameters and positions (PBE).
Peak positions follow from Bragg's law for the DFT cell and can differ from measured ones.

Largest 6 diffraction maxima, most intense first, 10° ≤ 2θ ≤ 80°:
two_theta, I/Imax
40.11, 100
38.04, 55
39.19, 34
43.34, 28
37.83, 22
34.18, 22

a = 9.753 Å, b = 9.753 Å, c = 3.284 Å
α = 90.00°, β = 90.00°, γ = 90.00°
Positions (direct):
Sm (0.175, 0.325, 0.000)
Sm (0.325, 0.825, 0.000)
Sm (0.675, 0.175, 0.000)
Sm (0.825, 0.675, 0.000)
Ga (0.125, 0.625, 0.000)
Ga (0.375, 0.125, 0.000)
Ga (0.625, 0.875, 0.000)
Ga (0.875, 0.375, 0.000)
Cu (0.000, 0.000, 0.000)
Cu (0.500, 0.500, 0.000)
Ni (0.000, 0.500, 0.500)
Ni (0.054, 0.807, 0.500)
Ni (0.193, 0.054, 0.500)
Ni (0.307, 0.554, 0.500)
Ni (0.446, 0.307, 0.500)
Ni (0.500, 0.000, 0.500)
Ni (0.554, 0.693, 0.500)
Ni (0.693, 0.446, 0.500)
Ni (0.807, 0.946, 0.500)
Ni (0.946, 0.193, 0.500)

Entry 10:
# TbGa3CuNi
Computed powder diffractogram, Cu Kα. Input: DFT lattice parameters and positions (PBE).
Peak positions follow from Bragg's law for the DFT cell and can differ from measured ones.

Largest 6 diffraction maxima, most intense first, 10° ≤ 2θ ≤ 80°:
two_theta, I/Imax
42.65, 100
34.54, 58
44.14, 58
32.58, 57
34.29, 39
28.69, 36

a = 6.636 Å, b = 6.636 Å, c = 5.793 Å
α = 90.00°, β = 90.00°, γ = 124.08°
Positions (direct):
Tb (0.218, 0.782, 0.750)
Tb (0.782, 0.218, 0.250)
Ga (0.204, 0.204, 0.000)
Ga (0.204, 0.204, 0.500)
Ga (0.336, 0.664, 0.250)
Ga (0.664, 0.336, 0.750)
Ga (0.796, 0.796, 0.000)
Ga (0.796, 0.796, 0.500)
Cu (0.450, 0.550, 0.750)
Cu (0.550, 0.450, 0.250)
Ni (0.135, 0.865, 0.250)
Ni (0.865, 0.135, 0.750)

Entry 11:
# TbGaCuNi
Computed powder diffractogram, Cu Kα. Input: DFT lattice parameters and positions (PBE).
Peak positions follow from Bragg's law for the DFT cell and can differ from measured ones.

Largest 6 diffraction maxima, most intense first, 10° ≤ 2θ ≤ 80°:
two_theta, I/Imax
42.89, 100
36.20, 97
25.26, 46
41.54, 42
27.76, 33
60.08, 32

a = 4.218 Å, b = 4.218 Å, c = 13.526 Å
α = 90.00°, β = 90.00°, γ = 120.00°
Positions (direct):
Tb (0.000, 0.000, 0.000)
Tb (0.333, 0.667, 0.667)
Tb (0.667, 0.333, 0.333)
Ga (0.000, 0.000, 0.514)
Ga (0.333, 0.667, 0.181)
Ga (0.667, 0.333, 0.847)
Cu (0.000, 0.000, 0.794)
Cu (0.333, 0.667, 0.461)
Cu (0.667, 0.333, 0.128)
Ni (0.000, 0.000, 0.203)
Ni (0.333, 0.667, 0.870)
Ni (0.667, 0.333, 0.537)

Entry 12:
# YGaCu2Ni2
Computed powder diffractogram, Cu Kα. Input: DFT lattice parameters and positions (PBE).
Peak positions follow from Bragg's law for the DFT cell and can differ from measured ones.

Largest 6 diffraction maxima, most intense first, 10° ≤ 2θ ≤ 80°:
two_theta, I/Imax
39.16, 100
41.46, 87
58.35, 59
33.47, 40
28.99, 37
16.36, 29

a = 4.356 Å, b = 4.356 Å, c = 5.418 Å
α = 90.00°, β = 90.00°, γ = 90.00°
Positions (direct):
Y (0.000, 0.000, 0.000)
Ga (0.000, 0.000, 0.500)
Cu (0.500, 0.500, 0.244)
Cu (0.500, 0.500, 0.756)
Ni (0.000, 0.500, 0.500)
Ni (0.500, 0.000, 0.500)